1.
The following is a theoretical PXRD pattern of CuAg5I4Br2. It was derived from the GGA-PBE geometry in Alexandria, using Cu Kα (λ = 1.5418 Å).

Largest 8 diffraction maxima, sorted by position, 2θ = 10–80°:
2θ/deg	Rel. int.
24.56	681
25.95	1000
36.71	772
43.38	246
43.51	456
44.96	258
50.48	183
64.25	180

Cell and atoms:
```
data_CuAg5I4Br2
_cell_length_a 8.3434
_cell_length_b 7.2640
_cell_length_c 7.2640
_cell_angle_alpha 123.63
_cell_angle_beta 90.00
_cell_angle_gamma 90.00
_symmetry_space_group_name_H-M 'P 1'
_symmetry_Int_Tables_number 1
loop_
_symmetry_equiv_pos_as_xyz
'x,y,z'
loop_
_atom_site_label
_atom_site_fract_x
_atom_site_fract_y
_atom_site_fract_z
Cu1 0.0000 0.0000 0.0000
Ag1 0.2474 0.2272 0.6188
Ag2 0.2474 0.6188 0.2272
Ag3 0.5000 0.9200 0.9200
Ag4 0.7526 0.2272 0.6188
Ag5 0.7526 0.6188 0.2272
I1 0.0000 0.6124 0.9443
I2 0.0000 0.9443 0.6124
I3 0.2536 0.2182 0.2182
I4 0.7464 0.2182 0.2182
Br1 0.5000 0.5154 0.8675
Br2 0.5000 0.8675 0.5154
```



2.
The following is a theoretical PXRD pattern of TlGaAs. It was derived from the GGA-PBE geometry in Alexandria, using Cu Kα (λ = 1.5418 Å).

Largest 8 diffraction maxima, sorted by position, 2θ = 10–80°:
2θ/deg	Rel. int.
25.54	156
30.34	1000
32.55	136
41.82	229
45.02	282
55.26	187
56.67	299
73.94	158

Cell and atoms:
```
data_TlGaAs
_cell_length_a 4.0273
_cell_length_b 4.0273
_cell_length_c 5.5018
_cell_angle_alpha 90.00
_cell_angle_beta 90.00
_cell_angle_gamma 120.00
_symmetry_space_group_name_H-M 'P 1'
_symmetry_Int_Tables_number 1
loop_
_symmetry_equiv_pos_as_xyz
'x,y,z'
loop_
_atom_site_label
_atom_site_fract_x
_atom_site_fract_y
_atom_site_fract_z
Tl1 0.0000 0.0000 0.0000
Ga1 0.3333 0.6667 0.4031
As1 0.6667 0.3333 0.5760
```



3.
The following is a theoretical PXRD pattern of Mg3CrN3. It was derived from the GGA-PBE geometry in Alexandria, using Cu Kα (λ = 1.5418 Å).

Largest 8 diffraction maxima, sorted by position, 2θ = 10–80°:
2θ/deg	Rel. int.
25.16	636
30.03	989
36.44	1000
40.99	531
51.64	363
53.33	618
66.31	188
69.38	503

Cell and atoms:
```
data_Mg3CrN3
_cell_length_a 6.8719
_cell_length_b 6.8719
_cell_length_c 4.4038
_cell_angle_alpha 90.00
_cell_angle_beta 90.00
_cell_angle_gamma 120.00
_symmetry_space_group_name_H-M 'P 1'
_symmetry_Int_Tables_number 1
loop_
_symmetry_equiv_pos_as_xyz
'x,y,z'
loop_
_atom_site_label
_atom_site_fract_x
_atom_site_fract_y
_atom_site_fract_z
Mg1 0.1723 0.3464 0.2500
Mg2 0.1742 0.8277 0.2500
Mg3 0.3464 0.1742 0.7500
Mg4 0.6536 0.8258 0.2500
Mg5 0.8258 0.1723 0.7500
Mg6 0.8277 0.6536 0.7500
Cr1 0.3333 0.6667 0.7500
Cr2 0.6667 0.3333 0.2500
N1 0.1825 0.3671 0.7500
N2 0.1846 0.8175 0.7500
N3 0.3671 0.1846 0.2500
N4 0.6329 0.8154 0.7500
N5 0.8154 0.1825 0.2500
N6 0.8175 0.6329 0.2500
```